This entry pairs a crystal structure of MgTiS3O12 with its computed X-ray diffraction stick pattern. Radiation: Cu Kα. Structure: a crystal structure in the Materials Project, relaxed with GGA-PBE.

Largest 10 diffraction maxima, sorted by position, 10° ≤ 2θ ≤ 90°:
| d/Å | 2theta | I_rel |
| --- | --- | --- |
| 6.183 | 14.3 | 35 |
| 4.449 | 20.0 | 20 |
| 3.717 | 23.9 | 100 |
| 3.698 | 24.1 | 10 |
| 3.092 | 28.9 | 22 |
| 2.804 | 31.9 | 21 |
| 2.792 | 32.1 | 12 |
| 2.482 | 36.2 | 7 |
| 1.859 | 49.0 | 8 |
| 1.743 | 52.5 | 8 |

Atomic structure:
Lattice parameters (Å, degrees): 8.9082 8.9082 8.9082 57.72 57.72 57.72
Sites, in units of the cell vectors:
Mg (0.0000, 0.0000, 0.0000)
Mg (0.5000, 0.5000, 0.5000)
Ti (0.2902, 0.2902, 0.2902)
Ti (0.7902, 0.7902, 0.7902)
S (0.1087, 0.3942, 0.6863)
S (0.1863, 0.8942, 0.6087)
S (0.3942, 0.6863, 0.1087)
S (0.6087, 0.1863, 0.8942)
S (0.6863, 0.1087, 0.3942)
S (0.8942, 0.6087, 0.1863)
O (0.0132, 0.8754, 0.6357)
O (0.0694, 0.4345, 0.2089)
O (0.0737, 0.2319, 0.8528)
O (0.1357, 0.3754, 0.5132)
O (0.1566, 0.9207, 0.7704)
O (0.2089, 0.0694, 0.4345)
O (0.2319, 0.8528, 0.0737)
O (0.2704, 0.4207, 0.6566)
O (0.3528, 0.7319, 0.5737)
O (0.3754, 0.5132, 0.1357)
O (0.4207, 0.6566, 0.2704)
O (0.4345, 0.2089, 0.0694)
O (0.5132, 0.1357, 0.3754)
O (0.5694, 0.7089, 0.9345)
O (0.5737, 0.3528, 0.7319)
O (0.6357, 0.0132, 0.8754)
O (0.6566, 0.2704, 0.4207)
O (0.7089, 0.9345, 0.5694)
O (0.7319, 0.5737, 0.3528)
O (0.7704, 0.1566, 0.9207)
O (0.8528, 0.0737, 0.2319)
O (0.8754, 0.6357, 0.0132)
O (0.9207, 0.7704, 0.1566)
O (0.9345, 0.5694, 0.7089)

=====

This entry pairs a crystal structure of Cs3As with its computed X-ray diffraction stick pattern. Radiation: Cu Kα. Structure: a crystal structure in the Materials Project, relaxed with GGA-PBE.

Largest 10 diffraction maxima, sorted by position, 10° ≤ 2θ ≤ 90°:
| d/Å | 2theta | I_rel |
| --- | --- | --- |
| 4.637 | 19.1 | 14 |
| 4.067 | 21.9 | 30 |
| 3.300 | 27.0 | 100 |
| 3.074 | 29.0 | 14 |
| 2.822 | 31.7 | 18 |
| 2.444 | 36.8 | 17 |
| 2.348 | 38.3 | 18 |
| 1.913 | 47.5 | 13 |
| 1.805 | 50.6 | 16 |
| 1.708 | 53.7 | 15 |

Atomic structure:
Lattice parameters (Å, degrees): 9.3917 9.3917 5.6449 90.00 90.00 120.00
Sites, in units of the cell vectors:
Cs (0.1924, 0.3848, 0.2500)
Cs (0.1924, 0.8076, 0.2500)
Cs (0.3848, 0.1924, 0.7500)
Cs (0.6152, 0.8076, 0.2500)
Cs (0.8076, 0.1924, 0.7500)
Cs (0.8076, 0.6152, 0.7500)
As (0.3333, 0.6667, 0.7500)
As (0.6667, 0.3333, 0.2500)